Starting from the PBE geometry in Alexandria, the powder X-ray diffraction pattern of Tb2PmDy6Er was computed for copper Kα.

```
data_Tb2PmDy6Er
_symmetry_space_group_name_H-M 'C 1 2/c 1'
_symmetry_Int_Tables_number 15
_cell_length_a 9.046
_cell_length_b 15.017
_cell_length_c 9.563
_cell_angle_alpha 90.00
_cell_angle_beta 97.63
_cell_angle_gamma 90.00
loop_
_symmetry_equiv_pos_as_xyz
'x,y,z'
'-x,-y,-z'
'-x,y,-z+1/2'
'x,-y,z+1/2'
'x+1/2,y+1/2,z'
'-x+1/2,-y+1/2,-z'
'-x+1/2,y+1/2,-z+1/2'
'x+1/2,-y+1/2,z+1/2'
loop_
_atom_site_label
_atom_site_type_symbol
_atom_site_fract_x
_atom_site_fract_y
_atom_site_fract_z
Tb1 Tb 0.250 0.052 0.045
Pm1 Pm 0.000 0.023 0.750
Dy1 Dy 0.064 0.187 0.443
Dy2 Dy 0.101 0.393 0.619
Dy3 Dy 0.207 0.225 0.816
Er1 Er 0.000 0.409 0.250
```

The 10 most intense peaks (5° ≤ 2θ ≤ 70°), in order of falling intensity:
h k l	Position (°2θ)	I (rel.)
3 1 -1	30.7	100.0
2 2 2	31.6	60.7
1 3 -3	33.9	46.9
1 5 0	31.4	44.5
1 3 2	28.7	36.4
2 4 -1	31.7	34.4
1 5 -1	32.4	18.5
2 2 -2	28.2	14.9
2 2 -3	34.6	14.2
5 3 1	56.6	13.8